This entry pairs a crystal structure of Y5Er2Cu2Te2 with its calculated XRD peak list. Radiation: Cu Kα, 1.54184 Å. Structure: a crystal structure in OQMD, relaxed with PBE.
Peak positions follow from Bragg's law for the DFT cell and can differ from measured ones.

Top 6 peaks for 10° ≤ 2θ ≤ 90°, low angle first:
29.83°, d = 2.995 Å, I = 41, (1 1 2); 32.99°, d = 2.715 Å, I = 81, (0 3 3); 33.65°, d = 2.663 Å, I = 100, (1 4 1); 34.10°, d = 2.629 Å, I = 78, (1 3 2); 38.02°, d = 2.367 Å, I = 39, (1 2 3); 45.77°, d = 1.982 Å, I = 36, (2 0 0)

abc: 3.964 15.522 9.567
angles: 90.00 90.00 90.00
Space group Imm2 (No. 44)
Unique sites:
Y 0.000 0.000 0.000 x2
Y 0.000 0.127 0.413 x4
Y 0.000 0.357 0.260 x4
Er 0.000 0.314 0.618 x4
Cu 0.000 0.237 0.926 x4
Te 0.000 0.000 0.662 x2
Te 0.000 0.500 0.760 x2